This entry pairs a crystal structure of LiNiF with its calculated XRD peak list. Radiation: CuKα. Structure: DFT lattice parameters and positions (PBE+U).
No peak broadening, texture or thermal motion is included.

Crystal structure
```
LiNiF
1.0
3.7983 0.0000 0.0000
0.0000 3.7988 0.0000
-0.0147 0.0000 9.0293
Li Ni F
4 4 4
direct
0.0000 0.0000 0.0000
0.0015 0.5000 0.2628
0.5000 0.5000 0.0000
0.5015 0.0000 0.2628
0.4983 0.0000 0.7215
0.4976 0.5000 0.5422
0.9976 0.0000 0.5422
0.9983 0.5000 0.7215
0.9998 0.5000 0.9632
0.0015 0.0000 0.2175
0.4998 0.0000 0.9632
0.5015 0.5000 0.2175
```

Top 10 peaks for 10 to 90 degrees two-theta, sorted by position:
Position (°2θ)  Rel. int.  index
19.66  339  0 0 2
34.85  858  1 1 1
39.02  714  1 1 -2
39.94  244  0 0 4
45.25  1000  1 1 3
47.90  654  2 0 0
49.01  239  2 0 -1
52.99  303  1 1 -4
70.06  182  2 2 0
87.40  185  1 3 3